Starting from DFT lattice parameters and positions (GGA-PBE), the X-ray powder pattern of Na2FeTcSe6 was simulated for Cu Kα.
No peak broadening, texture or thermal motion is included.

Crystal structure
Cell lengths 7.1138, 7.1138, 7.1138 Å; angles 127.91, 127.91, 76.76 degrees
Fractional positions:
Na: 0.2500 0.7500 0.5000
Na: 0.7500 0.2500 0.5000
Fe: 0.0000 0.0000 0.0000
Tc: 0.5000 0.5000 0.0000
Se: 0.1353 0.6495 0.7848
Se: 0.2652 0.2652 0.0000
Se: 0.3505 0.1353 0.4857
Se: 0.6495 0.8647 0.5143
Se: 0.7348 0.7348 0.0000
Se: 0.8647 0.3505 0.2152

Most intense lines, 15 to 90 degrees two-theta, low angle first:
two_theta	I/Imax
15.9	899
28.6	518
32.1	964
33.1	1000
40.4	521
40.9	310
45.9	615
48.9	324
52.5	314
57.1	603

***

Starting from DFT lattice parameters and positions (GGA-PBE), the X-ray powder pattern of InPt17 was simulated for Cu Kα.
No peak broadening, texture or thermal motion is included.

Crystal structure
Cell lengths 5.5632, 5.5632, 33.5036 Å; angles 90.00, 90.00, 120.00 degrees
Fractional positions:
In: 0.3333 0.6667 0.2890
In: 0.6667 0.3333 0.7110
Pt: 0.0000 0.0000 0.0000
Pt: 0.0000 0.0000 0.2070
Pt: 0.0000 0.0000 0.7930
Pt: 0.0000 0.5000 0.0000
Pt: 0.0021 0.5011 0.2075
Pt: 0.1661 0.3322 0.7244
Pt: 0.1661 0.8339 0.7244
Pt: 0.1665 0.3331 0.9311
Pt: 0.1669 0.3338 0.1382
Pt: 0.1669 0.8331 0.1382
Pt: 0.1665 0.8335 0.9311
Pt: 0.3322 0.1661 0.2756
Pt: 0.3331 0.1665 0.0689
Pt: 0.3333 0.6667 0.0690
Pt: 0.3333 0.6667 0.8626
Pt: 0.3338 0.1669 0.8618
Pt: 0.4989 0.5011 0.2075
Pt: 0.4989 0.9979 0.2075
Pt: 0.5000 0.0000 0.0000
Pt: 0.5000 0.5000 0.0000
Pt: 0.5011 0.0021 0.7925
Pt: 0.5011 0.4989 0.7925
Pt: 0.6662 0.8331 0.1382
Pt: 0.6667 0.3333 0.1374
Pt: 0.6667 0.3333 0.9310
Pt: 0.6669 0.8335 0.9311
Pt: 0.6678 0.8339 0.7244
Pt: 0.8335 0.1665 0.0689
Pt: 0.8331 0.1669 0.8618
Pt: 0.8331 0.6662 0.8618
Pt: 0.8335 0.6669 0.0689
Pt: 0.8339 0.1661 0.2756
Pt: 0.8339 0.6678 0.2756
Pt: 0.9979 0.4989 0.7925

Most intense lines, 15 to 90 degrees two-theta, low angle first:
two_theta	I/Imax
37.6	306
38.9	469
39.8	1000
40.4	220
44.8	455
46.4	562
65.6	209
67.3	226
79.7	217
81.5	179

***

Starting from DFT lattice parameters and positions (GGA-PBE), the X-ray powder pattern of NdDy2Cu4Ge4 was simulated for Cu Kα.
No peak broadening, texture or thermal motion is included.

Crystal structure
Cell lengths 8.0679, 8.0679, 8.0679 Å; angles 149.71, 130.61, 59.05 degrees
Fractional positions:
Nd: 0.0000 0.0000 0.0000
Dy: 0.3697 0.8697 0.5000
Dy: 0.6303 0.1303 0.5000
Cu: 0.0205 0.3307 0.6898
Cu: 0.3592 0.6693 0.6898
Cu: 0.6408 0.3307 0.3102
Cu: 0.9795 0.6693 0.3102
Ge: 0.2185 0.2185 0.0000
Ge: 0.3132 0.5000 0.8132
Ge: 0.6868 0.5000 0.1868
Ge: 0.7815 0.7815 0.0000

Most intense lines, 15 to 90 degrees two-theta, low angle first:
two_theta	I/Imax
34.7	1000
35.9	891
38.5	177
39.3	124
42.9	325
44.7	258
47.3	132
63.7	174
74.0	137
79.5	129

***

Starting from DFT lattice parameters and positions (GGA-PBE), the X-ray powder pattern of Gd2InGa4Pt3 was simulated for Cu Kα.
No peak broadening, texture or thermal motion is included.

Crystal structure
Cell lengths 12.8946, 12.8946, 6.9026 Å; angles 90.00, 90.00, 160.62 degrees
Fractional positions:
Gd: 0.0171 0.9829 0.5000
Gd: 0.3257 0.6743 0.5172
Gd: 0.6743 0.3257 0.0172
Gd: 0.9829 0.0171 0.0000
In: 0.3756 0.6244 0.0021
In: 0.6244 0.3756 0.5021
Ga: 0.1019 0.8981 0.8435
Ga: 0.2054 0.7946 0.3279
Ga: 0.2086 0.7914 0.7303
Ga: 0.4491 0.5509 0.6776
Ga: 0.5509 0.4491 0.1776
Ga: 0.7914 0.2086 0.2303
Ga: 0.7946 0.2054 0.8279
Ga: 0.8981 0.1019 0.3435
Pt: 0.1061 0.8939 0.2277
Pt: 0.2698 0.7302 0.0338
Pt: 0.4510 0.5490 0.2943
Pt: 0.5490 0.4510 0.7943
Pt: 0.7302 0.2698 0.5338
Pt: 0.8939 0.1061 0.7277

Most intense lines, 15 to 90 degrees two-theta, low angle first:
two_theta	I/Imax
26.4	152
34.7	697
34.9	1000
37.7	281
38.0	227
41.6	496
44.4	149
46.5	204
66.3	167
71.6	207

***

Starting from DFT lattice parameters and positions (GGA-PBE), the X-ray powder pattern of Li2Fe2C was simulated for Cu Kα.
No peak broadening, texture or thermal motion is included.

Crystal structure
Cell lengths 7.9316, 7.9316, 4.3942 Å; angles 94.39, 94.39, 147.49 degrees
Fractional positions:
Li: 0.0934 0.9066 0.0000
Li: 0.4287 0.6229 0.4964
Li: 0.6229 0.4287 0.4964
Li: 0.9066 0.0934 0.0000
Fe: 0.0396 0.4996 0.7547
Fe: 0.4996 0.0396 0.7547
Fe: 0.5295 0.9946 0.2526
Fe: 0.9946 0.5295 0.2526
C: 0.6710 0.6710 0.1506
C: 0.8836 0.8836 0.4137

Most intense lines, 15 to 90 degrees two-theta, low angle first:
two_theta	I/Imax
23.4	1000
35.4	215
39.1	301
42.3	196
42.8	179
44.0	387
44.5	396
48.9	272
49.3	252
53.4	164

***

Starting from DFT lattice parameters and positions (GGA-PBE), the X-ray powder pattern of Ho6ReO12 was simulated for Cu Kα.
No peak broadening, texture or thermal motion is included.

Crystal structure
Cell lengths 6.3911, 6.3911, 6.3911 Å; angles 98.72, 98.72, 98.72 degrees
Fractional positions:
Ho: 0.1115 0.6438 0.8150
Ho: 0.1850 0.8885 0.3562
Ho: 0.3562 0.1850 0.8885
Ho: 0.6438 0.8150 0.1115
Ho: 0.8150 0.1115 0.6438
Ho: 0.8885 0.3562 0.1850
Re: 0.5000 0.5000 0.5000
O: 0.0676 0.3227 0.9106
O: 0.0894 0.9324 0.6773
O: 0.2015 0.5357 0.4262
O: 0.3227 0.9106 0.0676
O: 0.4262 0.2015 0.5357
O: 0.4643 0.5738 0.7985
O: 0.5357 0.4262 0.2015
O: 0.5738 0.7985 0.4643
O: 0.6773 0.0894 0.9324
O: 0.7985 0.4643 0.5738
O: 0.9106 0.0676 0.3227
O: 0.9324 0.6773 0.0894

Most intense lines, 15 to 90 degrees two-theta, low angle first:
two_theta	I/Imax
29.0	310
29.8	1000
34.3	463
48.8	255
49.7	267
57.7	109
58.6	233
59.0	132
61.8	103
80.8	88